[1]
K2Li3GaO4: computed powder diffractogram (λ = 1.5418 Å (Cu Kα)), based on a crystal structure in Alexandria, relaxed with PBE.
Lines closer than 0.1° are merged.

Crystal structure
```
data_K2Li3GaO4
_chemical_formula_sum 'K8 Li12 Ga4 O16'
_cell_length_a 5.605
_cell_length_b 8.910
_cell_length_c 11.057
_cell_angle_alpha 90.00
_cell_angle_beta 111.12
_cell_angle_gamma 90.00
_space_group_name_H-M_alt 'P 1 21/c 1'
_space_group_IT_number 14
loop_
_space_group_symop_operation_xyz
'x,y,z'
'-x,-y,-z'
'-x,y+1/2,-z+1/2'
'x,-y+1/2,z+1/2'
loop_
_atom_site_label
_atom_site_type_symbol
_atom_site_fract_x
_atom_site_fract_y
_atom_site_fract_z
K1 K 0.209 0.007 0.362
K2 K 0.221 0.228 0.609
Li1 Li 0.116 0.738 0.701
Li2 Li 0.129 0.009 0.930
Li3 Li 0.406 0.534 0.298
Ga1 Ga 0.397 0.711 0.563
O1 O 0.241 0.551 0.624
O2 O 0.250 0.178 0.858
O3 O 0.267 0.690 0.382
O4 O 0.282 0.609 0.115
```

Most intense lines, 2θ = 5–70°, sorted by position:
d (Å)  I/Imax  index
5.157  28  0 0 2
4.457  53  0 2 0
4.081  72  1 1 -2
3.371  26  0 2 2
2.644  37  2 1 -2
2.616  100  2 0 0
2.579  43  0 0 4
2.571  58  1 2 2
2.508  30  2 1 0
2.025  31  2 3 -2

---

[2]
K2MgGa2: computed powder diffractogram (λ = 1.5418 Å (Cu Kα)), based on a crystal structure in Alexandria, relaxed with PBE.
Lines closer than 0.1° are merged.

Crystal structure
```
data_K2MgGa2
_chemical_formula_sum 'K4 Mg2 Ga4'
_cell_length_a 7.440
_cell_length_b 7.440
_cell_length_c 5.795
_cell_angle_alpha 90.00
_cell_angle_beta 90.00
_cell_angle_gamma 90.00
_space_group_name_H-M_alt 'P 4/m b m'
_space_group_IT_number 127
_space_group_name_Hall '-P 4 2ab'
loop_
_atom_site_label
_atom_site_type_symbol
_atom_site_fract_x
_atom_site_fract_y
_atom_site_fract_z
K1 K 0.182 0.318 0.000
Mg1 Mg 0.000 0.000 0.500
Ga1 Ga 0.121 0.621 0.500
```

Most intense lines, 2θ = 5–70°, sorted by position:
d (Å)  I/Imax  index
5.795  21  0 0 1
5.261  19  1 1 0
3.131  19  2 0 1
2.898  33  0 0 2
2.885  100  2 1 1
2.353  18  3 1 0
1.945  14  3 2 1
1.826  16  3 1 2
1.681  13  3 2 2
1.671  18  2 1 3

---

[3]
KMg5Ga3: computed powder diffractogram (λ = 1.5418 Å (Cu Kα)), based on a crystal structure in Alexandria, relaxed with PBE.
Lines closer than 0.1° are merged.

Crystal structure
```
data_KMg5Ga3
_chemical_formula_sum 'K4 Mg20 Ga12'
_cell_length_a 4.479
_cell_length_b 14.387
_cell_length_c 14.217
_cell_angle_alpha 90.00
_cell_angle_beta 90.00
_cell_angle_gamma 90.00
_space_group_name_H-M_alt 'C m c m'
_space_group_IT_number 63
_space_group_name_Hall '-C 2c 2'
loop_
_atom_site_label
_atom_site_type_symbol
_atom_site_fract_x
_atom_site_fract_y
_atom_site_fract_z
K1 K 0.000 0.160 0.250
Mg1 Mg 0.000 0.000 0.000
Mg2 Mg 0.000 0.197 0.564
Mg3 Mg 0.000 0.441 0.146
Ga1 Ga 0.000 0.123 0.750
Ga2 Ga 0.000 0.388 0.546
```

Most intense lines, 2θ = 5–70°, sorted by position:
d (Å)  I/Imax  index
3.957  45  0 2 3
3.665  99  1 1 2
3.597  65  0 4 0
3.175  45  1 1 3
2.973  100  1 3 2
2.368  75  1 1 5
2.292  93  1 5 2
2.240  71  2 0 0
2.147  63  1 3 5
2.139  43  0 6 3

---

[4]
KMg14Ga: computed powder diffractogram (λ = 1.5418 Å (Cu Kα)), based on a crystal structure in Alexandria, relaxed with PBE.
Lines closer than 0.1° are merged.

Crystal structure
```
data_KMg14Ga
_chemical_formula_sum 'K1 Mg14 Ga1'
_cell_length_a 6.5267
_cell_length_b 6.5267
_cell_length_c 10.4236
_cell_angle_alpha 90.00
_cell_angle_beta 90.00
_cell_angle_gamma 120.00
_space_group_name_H-M_alt 'P -6 m 2'
_space_group_IT_number 187
_space_group_name_Hall 'P -6 2'
loop_
_atom_site_label
_atom_site_type_symbol
_atom_site_fract_x
_atom_site_fract_y
_atom_site_fract_z
K1 K 0.0000 0.0000 0.0000
Mg1 Mg 0.0084 0.5042 0.0000
Mg2 Mg 0.1685 0.3370 0.2674
Mg3 Mg 0.5052 0.0103 0.5000
Mg4 Mg 0.6667 0.3333 0.2439
Ga1 Ga 0.0000 0.0000 0.5000
```

Most intense lines, 2θ = 5–70°, sorted by position:
d (Å)  I/Imax  index
5.652  9  1 0 0
3.832  8  1 0 2
2.826  26  2 0 0
2.606  24  0 0 4
2.484  100  2 0 2
1.916  15  2 0 4
1.632  17  2 2 0
1.480  16  2 0 6
1.383  18  2 2 4
1.364  14  4 0 2

---

[5]
KMg6GaO8: computed powder diffractogram (λ = 1.5418 Å (Cu Kα)), based on a crystal structure in Alexandria, relaxed with PBE.
Lines closer than 0.1° are merged.

Crystal structure
```
data_KMg6GaO8
_chemical_formula_sum 'K1 Mg6 Ga1 O8'
_cell_length_a 4.438
_cell_length_b 4.438
_cell_length_c 8.683
_cell_angle_alpha 90.00
_cell_angle_beta 90.00
_cell_angle_gamma 90.00
_space_group_name_H-M_alt 'P 4/m m m'
_space_group_IT_number 123
_space_group_name_Hall '-P 4 2'
loop_
_atom_site_label
_atom_site_type_symbol
_atom_site_fract_x
_atom_site_fract_y
_atom_site_fract_z
K1 K 0.000 0.000 0.000
Mg1 Mg 0.000 0.000 0.500
Mg2 Mg 0.000 0.500 0.252
Mg3 Mg 0.500 0.500 0.500
Ga1 Ga 0.500 0.500 0.000
O1 O 0.000 0.000 0.276
O2 O 0.000 0.500 0.000
O3 O 0.000 0.500 0.500
O4 O 0.500 0.500 0.235
```

Most intense lines, 2θ = 5–70°, sorted by position:
d (Å)  I/Imax  index
8.683  31  0 0 1
4.341  8  0 0 2
3.951  10  1 0 1
3.138  7  1 1 0
2.951  11  1 1 1
2.543  36  1 1 2
2.219  100  2 0 0
2.171  44  0 0 4
1.569  29  2 2 0
1.552  53  2 0 4

---

[6]
KMg6GaO8: computed powder diffractogram (λ = 1.5418 Å (Cu Kα)), based on a crystal structure in Alexandria, relaxed with PBE.
Lines closer than 0.1° are merged.

Crystal structure
```
data_KMg6GaO8
_chemical_formula_sum 'K1 Mg6 Ga1 O8'
_cell_length_a 4.518
_cell_length_b 4.518
_cell_length_c 8.469
_cell_angle_alpha 90.00
_cell_angle_beta 90.00
_cell_angle_gamma 90.00
_space_group_name_H-M_alt 'P 4/m m m'
_space_group_IT_number 123
_space_group_name_Hall '-P 4 2'
loop_
_atom_site_label
_atom_site_type_symbol
_atom_site_fract_x
_atom_site_fract_y
_atom_site_fract_z
K1 K 0.000 0.000 0.000
Mg1 Mg 0.000 0.500 0.245
Mg2 Mg 0.500 0.500 0.000
Mg3 Mg 0.500 0.500 0.500
Ga1 Ga 0.000 0.000 0.500
O1 O 0.000 0.000 0.285
O2 O 0.000 0.500 0.000
O3 O 0.000 0.500 0.500
O4 O 0.500 0.500 0.253
```

Most intense lines, 2θ = 5–70°, sorted by position:
d (Å)  I/Imax  index
8.469  10  0 0 1
4.518  16  1 0 0
3.986  9  1 0 1
3.090  14  1 0 2
2.550  35  1 1 2
2.259  100  2 0 0
2.117  38  0 0 4
1.597  29  2 2 0
1.545  49  2 0 4
1.354  13  3 1 2

---

[7]
KMgGaSb2: computed powder diffractogram (λ = 1.5418 Å (Cu Kα)), based on a crystal structure in Alexandria, relaxed with PBE.
Lines closer than 0.1° are merged.

Crystal structure
```
data_KMgGaSb2
_chemical_formula_sum 'K2 Mg2 Ga2 Sb4'
_cell_length_a 4.487
_cell_length_b 4.487
_cell_length_c 15.443
_cell_angle_alpha 90.00
_cell_angle_beta 90.00
_cell_angle_gamma 90.00
_space_group_name_H-M_alt 'I -4 m 2'
_space_group_IT_number 119
_space_group_name_Hall 'I -4 -2'
loop_
_atom_site_label
_atom_site_type_symbol
_atom_site_fract_x
_atom_site_fract_y
_atom_site_fract_z
K1 K 0.000 0.000 0.000
Mg1 Mg 0.000 0.500 0.750
Ga1 Ga 0.000 0.500 0.250
Sb1 Sb 0.000 0.000 0.364
```

Most intense lines, 2θ = 5–70°, sorted by position:
d (Å)  I/Imax  index
7.722  23  0 0 2
4.309  46  1 0 1
3.382  100  1 0 3
3.173  23  1 1 0
2.544  16  1 0 5
2.451  57  1 1 4
2.244  37  2 0 0
1.999  21  1 1 6
1.870  36  2 1 3
1.463  15  2 0 8

---

[8]
KMg2GaTe4: computed powder diffractogram (λ = 1.5418 Å (Cu Kα)), based on a crystal structure in Alexandria, relaxed with PBE.
Lines closer than 0.1° are merged.

Crystal structure
```
data_KMg2GaTe4
_chemical_formula_sum 'K4 Mg8 Ga4 Te16'
_cell_length_a 4.206
_cell_length_b 15.848
_cell_length_c 15.634
_cell_angle_alpha 90.00
_cell_angle_beta 90.00
_cell_angle_gamma 90.00
_space_group_name_H-M_alt 'C m c m'
_space_group_IT_number 63
_space_group_name_Hall '-C 2c 2'
loop_
_atom_site_label
_atom_site_type_symbol
_atom_site_fract_x
_atom_site_fract_y
_atom_site_fract_z
K1 K 0.000 0.137 0.250
Mg1 Mg 0.000 0.389 0.063
Ga1 Ga 0.000 0.153 0.750
Te1 Te 0.000 0.000 0.000
Te2 Te 0.000 0.236 0.605
Te3 Te 0.000 0.455 0.250
```

Most intense lines, 2θ = 5–70°, sorted by position:
d (Å)  I/Imax  index
7.068  60  0 2 1
3.606  29  1 1 2
3.505  100  0 2 4
3.220  65  1 3 1
3.205  38  1 1 3
3.033  80  1 3 2
2.277  53  1 5 3
2.103  31  2 0 0
2.043  30  1 3 6
1.803  30  2 2 4